This entry pairs a crystal structure of AcCe3Hg4 with its simulated powder XRD pattern. Radiation: Cu Kα (λ = 1.5418 Å). Structure: DFT lattice parameters and positions (PBE).
No peak broadening, texture or thermal motion is included.

Peak list (12 most intense, 2θ = 15–90°, low angle first)
- 32.44°, d = 2.760 Å, I = 54
- 32.71°, d = 2.738 Å, I = 100
- 46.54°, d = 1.951 Å, I = 20
- 47.34°, d = 1.920 Å, I = 8
- 58.04°, d = 1.589 Å, I = 40
- 58.56°, d = 1.576 Å, I = 16
- 67.93°, d = 1.380 Å, I = 7
- 68.56°, d = 1.369 Å, I = 10
- 77.31°, d = 1.234 Å, I = 9
- 77.46°, d = 1.232 Å, I = 9
- 78.65°, d = 1.217 Å, I = 5
- 86.94°, d = 1.121 Å, I = 6

Atomic structure:
```
AcCe3Hg4
1.0
3.903 0.000 0.000
0.000 3.903 0.000
0.000 0.000 15.363
Ac Ce Hg
1 3 4
direct
0.000 0.000 0.000
0.000 0.000 0.260
0.000 0.000 0.500
0.000 0.000 0.740
0.500 0.500 0.140
0.500 0.500 0.380
0.500 0.500 0.620
0.500 0.500 0.860
```

---

This entry pairs a crystal structure of AcCeHo2Hg4 with its simulated powder XRD pattern. Radiation: Cu Kα (λ = 1.5418 Å). Structure: DFT lattice parameters and positions (PBE).
No peak broadening, texture or thermal motion is included.

Peak list (12 most intense, 2θ = 15–90°, low angle first)
- 25.18°, d = 3.537 Å, I = 4
- 32.60°, d = 2.747 Å, I = 100
- 33.35°, d = 2.686 Å, I = 99
- 47.33°, d = 1.921 Å, I = 36
- 57.68°, d = 1.598 Å, I = 17
- 59.13°, d = 1.562 Å, I = 37
- 59.61°, d = 1.551 Å, I = 19
- 68.29°, d = 1.373 Å, I = 10
- 70.05°, d = 1.343 Å, I = 12
- 78.16°, d = 1.223 Å, I = 15
- 79.42°, d = 1.207 Å, I = 16
- 88.92°, d = 1.101 Å, I = 6

Atomic structure:
```
AcCeHo2Hg4
1.0
2.686 1.551 9.076
-2.686 1.551 9.076
0.000 -3.102 9.076
Ac Ce Ho Hg
1 1 2 4
direct
0.000 0.000 0.000
0.500 0.500 0.500
0.245 0.245 0.245
0.755 0.755 0.755
0.127 0.127 0.127
0.382 0.382 0.382
0.618 0.618 0.618
0.873 0.873 0.873
```

---

This entry pairs a crystal structure of Ac2CeHoO6 with its simulated powder XRD pattern. Radiation: Cu Kα (λ = 1.5418 Å). Structure: DFT lattice parameters and positions (PBE).
No peak broadening, texture or thermal motion is included.

Peak list (12 most intense, 2θ = 15–90°, low angle first)
- 22.68°, d = 3.921 Å, I = 6
- 28.39°, d = 3.144 Å, I = 22
- 28.72°, d = 3.108 Å, I = 100
- 29.30°, d = 3.048 Å, I = 23
- 40.89°, d = 2.207 Å, I = 12
- 41.25°, d = 2.188 Å, I = 19
- 46.99°, d = 1.934 Å, I = 8
- 50.50°, d = 1.807 Å, I = 25
- 51.01°, d = 1.790 Å, I = 6
- 51.54°, d = 1.773 Å, I = 11
- 51.67°, d = 1.769 Å, I = 11
- 67.04°, d = 1.396 Å, I = 7

Atomic structure:
```
Ac2CeHoO6
1.0
6.097 0.000 0.000
0.000 6.288 0.000
-6.068 0.000 8.827
Ac Ce Ho O
4 2 2 12
direct
0.235 0.048 0.251
0.235 0.452 0.751
0.765 0.548 0.249
0.765 0.952 0.749
0.500 0.000 0.000
0.500 0.500 0.500
0.000 0.000 0.500
0.000 0.500 0.000
0.121 0.205 0.929
0.121 0.295 0.429
0.232 0.693 0.934
0.232 0.807 0.434
0.368 0.059 0.743
0.368 0.441 0.243
0.632 0.559 0.757
0.632 0.941 0.257
0.768 0.193 0.566
0.768 0.307 0.066
0.879 0.705 0.571
0.879 0.795 0.071
```

---

This entry pairs a crystal structure of Ac2CePt2I2 with its simulated powder XRD pattern. Radiation: Cu Kα (λ = 1.5418 Å). Structure: DFT lattice parameters and positions (PBE).
No peak broadening, texture or thermal motion is included.

Peak list (12 most intense, 2θ = 15–90°, low angle first)
- 23.95°, d = 3.715 Å, I = 30
- 26.03°, d = 3.424 Å, I = 29
- 30.54°, d = 2.927 Å, I = 100
- 31.50°, d = 2.841 Å, I = 60
- 34.13°, d = 2.627 Å, I = 87
- 35.66°, d = 2.518 Å, I = 18
- 46.43°, d = 1.956 Å, I = 74
- 49.04°, d = 1.858 Å, I = 32
- 58.86°, d = 1.569 Å, I = 21
- 59.45°, d = 1.555 Å, I = 20
- 63.56°, d = 1.464 Å, I = 23
- 69.84°, d = 1.347 Å, I = 19

Atomic structure:
```
Ac2CePt2I2
1.0
5.254 0.000 0.000
0.000 5.254 0.000
0.000 0.000 17.627
Ac Ce Pt I
4 2 4 4
direct
0.000 0.000 0.111
0.000 0.000 0.889
0.500 0.500 0.389
0.500 0.500 0.611
0.000 0.000 0.500
0.500 0.500 0.000
0.000 0.500 0.000
0.000 0.500 0.500
0.500 0.000 0.000
0.500 0.000 0.500
0.000 0.000 0.310
0.000 0.000 0.690
0.500 0.500 0.190
0.500 0.500 0.810
```